# 1
Structure and computed powder X-ray diffraction pattern of MgPb2 (a structure optimized by DFT (GGA-PBE); copper Kα).

Main lines, low angle first (5° ≤ 2θ ≤ 70°):
2θ 19.4, intensity 41
2θ 29.8, intensity 33
2θ 32.1, intensity 100
2θ 33.9, intensity 46
2θ 34.1, intensity 19
2θ 41.0, intensity 11
2θ 47.4, intensity 19
2θ 48.8, intensity 13
2θ 53.0, intensity 10
2θ 57.0, intensity 19
2θ 61.9, intensity 10
2θ 63.5, intensity 15

Crystal structure
a = 3.5191 Å, b = 9.1630 Å, c = 9.1630 Å
α = 120.02°, β = 90.00°, γ = 90.00°
Fractional positions:
Mg (0.0000, 0.0000, 0.0000)
Mg (0.5000, 0.3328, 0.6659)
Mg (0.5000, 0.6659, 0.3328)
Pb (0.0000, 0.3804, 0.3804)
Pb (0.0000, 0.6186, 0.9993)
Pb (0.0000, 0.9993, 0.6186)
Pb (0.5000, 0.2846, 0.9992)
Pb (0.5000, 0.7147, 0.7147)
Pb (0.5000, 0.9992, 0.2846)

---

# 2
Structure and computed powder X-ray diffraction pattern of La12Cu6O25 (a structure optimized by DFT (GGA-PBE); copper Kα).

Main lines, low angle first (5° ≤ 2θ ≤ 70°):
2θ 24.0, intensity 18
2θ 27.3, intensity 10
2θ 31.0, intensity 100
2θ 32.8, intensity 59
2θ 41.5, intensity 11
2θ 41.8, intensity 14
2θ 43.2, intensity 23
2θ 47.1, intensity 30
2θ 53.9, intensity 13
2θ 54.6, intensity 11
2θ 57.4, intensity 9
2θ 57.5, intensity 27

Crystal structure
a = 8.9372 Å, b = 8.9372 Å, c = 7.7246 Å
α = 102.57°, β = 102.57°, γ = 93.89°
Fractional positions:
La (0.0038, 0.0038, 0.2447)
La (0.2756, 0.7112, 0.2474)
La (0.2888, 0.7244, 0.7526)
La (0.3282, 0.3426, 0.8987)
La (0.3321, 0.3388, 0.4123)
La (0.6168, 0.0590, 0.9187)
La (0.6194, 0.0581, 0.4148)
La (0.6574, 0.6718, 0.1013)
La (0.6612, 0.6679, 0.5877)
La (0.9410, 0.3832, 0.0813)
La (0.9419, 0.3806, 0.5852)
La (0.9962, 0.9962, 0.7553)
Cu (0.3074, 0.0267, 0.5828)
Cu (0.3074, 0.0294, 0.0839)
Cu (0.6339, 0.3652, 0.2511)
Cu (0.6348, 0.3661, 0.7489)
Cu (0.9706, 0.6926, 0.9161)
Cu (0.9733, 0.6926, 0.4172)
O (0.0964, 0.4516, 0.8961)
O (0.1022, 0.1842, 0.0909)
O (0.1332, 0.8668, 0.5000)
O (0.1343, 0.2135, 0.5646)
O (0.1438, 0.5123, 0.3792)
O (0.1510, 0.8490, 0.0000)
O (0.2979, 0.0324, 0.8347)
O (0.3213, 0.0118, 0.3310)
O (0.3818, 0.6182, 0.0000)
O (0.4443, 0.5248, 0.6826)
O (0.4526, 0.2159, 0.1595)
O (0.4726, 0.1958, 0.6658)
O (0.4752, 0.5557, 0.3174)
O (0.4877, 0.8562, 0.6208)
O (0.5484, 0.9036, 0.1039)
O (0.6319, 0.3681, 0.0000)
O (0.6518, 0.3482, 0.5000)
O (0.7841, 0.5474, 0.8405)
O (0.7865, 0.8657, 0.4354)
O (0.8042, 0.5274, 0.3342)
O (0.8158, 0.8978, 0.9091)
O (0.8170, 0.1756, 0.2563)
O (0.8244, 0.1830, 0.7437)
O (0.9676, 0.7021, 0.1653)
O (0.9882, 0.6787, 0.6690)

---

# 3
Structure and computed powder X-ray diffraction pattern of Pr2Zn3CdPd4 (a structure optimized by DFT (GGA-PBE); copper Kα).

Main lines, low angle first (5° ≤ 2θ ≤ 70°):
2θ 29.7, intensity 7
2θ 32.0, intensity 40
2θ 32.1, intensity 7
2θ 33.9, intensity 100
2θ 38.6, intensity 5
2θ 42.6, intensity 51
2θ 44.3, intensity 16
2θ 46.0, intensity 26
2θ 54.2, intensity 24
2θ 58.4, intensity 8
2θ 61.8, intensity 16
2θ 64.4, intensity 19

Crystal structure
a = 4.2482 Å, b = 4.2482 Å, c = 11.1494 Å
α = 90.00°, β = 90.00°, γ = 90.00°
Fractional positions:
Pr (0.0000, 0.5000, 0.2402)
Pr (0.5000, 0.0000, 0.7598)
Zn (0.0000, 0.5000, 0.8742)
Zn (0.5000, 0.0000, 0.1258)
Zn (0.5000, 0.5000, 0.5000)
Cd (0.0000, 0.0000, 0.5000)
Pd (0.0000, 0.0000, 0.0000)
Pd (0.0000, 0.5000, 0.6508)
Pd (0.5000, 0.0000, 0.3492)
Pd (0.5000, 0.5000, 0.0000)

---

# 4
Structure and computed powder X-ray diffraction pattern of AcAg2SbS4 (a structure optimized by DFT (GGA-PBE); copper Kα).

Main lines, low angle first (5° ≤ 2θ ≤ 70°):
2θ 17.0, intensity 20
2θ 25.0, intensity 27
2θ 25.4, intensity 25
2θ 29.1, intensity 100
2θ 30.4, intensity 13
2θ 35.9, intensity 51
2θ 36.9, intensity 12
2θ 46.7, intensity 32
2θ 47.1, intensity 27
2θ 50.4, intensity 10
2θ 52.2, intensity 10
2θ 60.5, intensity 11

Crystal structure
a = 6.3315 Å, b = 6.3315 Å, c = 6.3315 Å
α = 112.77°, β = 111.52°, γ = 104.25°
Fractional positions:
Ac (0.0000, 0.0000, 0.0000)
Ag (0.3101, 0.8101, 0.5000)
Ag (0.6899, 0.1899, 0.5000)
Sb (0.5000, 0.5000, 0.0000)
S (0.0910, 0.0850, 0.5556)
S (0.4707, 0.9150, 0.0060)
S (0.5293, 0.5354, 0.4444)
S (0.9090, 0.4646, 0.9940)

---

# 5
Structure and computed powder X-ray diffraction pattern of Er7BeI12 (a structure optimized by DFT (GGA-PBE); copper Kα).

Main lines, low angle first (5° ≤ 2θ ≤ 70°):
2θ 11.4, intensity 21
2θ 25.4, intensity 11
2θ 28.1, intensity 14
2θ 29.5, intensity 100
2θ 34.5, intensity 8
2θ 36.5, intensity 8
2θ 42.1, intensity 35
2θ 42.3, intensity 35
2θ 52.2, intensity 17
2θ 61.2, intensity 12
2θ 69.2, intensity 13
2θ 69.6, intensity 12

Crystal structure
a = 9.5929 Å, b = 9.5929 Å, c = 9.5929 Å
α = 107.64°, β = 107.64°, γ = 107.64°
Fractional positions:
Er (0.0000, 0.0000, 0.0000)
Er (0.2001, 0.3998, 0.4688)
Er (0.3998, 0.4688, 0.2001)
Er (0.4688, 0.2001, 0.3998)
Er (0.5312, 0.7999, 0.6002)
Er (0.6002, 0.5312, 0.7999)
Er (0.7999, 0.6002, 0.5312)
Be (0.5000, 0.5000, 0.5000)
I (0.0307, 0.3446, 0.1102)
I (0.1102, 0.0307, 0.3446)
I (0.1824, 0.7267, 0.5763)
I (0.2733, 0.4237, 0.8176)
I (0.3446, 0.1102, 0.0307)
I (0.4237, 0.8176, 0.2733)
I (0.5763, 0.1824, 0.7267)
I (0.6554, 0.8898, 0.9693)
I (0.7267, 0.5763, 0.1824)
I (0.8176, 0.2733, 0.4237)
I (0.8898, 0.9693, 0.6554)
I (0.9693, 0.6554, 0.8898)

---

# 6
Structure and computed powder X-ray diffraction pattern of SmTmBr6 (a structure optimized by DFT (GGA-PBE); copper Kα).

Main lines, low angle first (5° ≤ 2θ ≤ 70°):
2θ 17.1, intensity 100
2θ 23.4, intensity 38
2θ 28.8, intensity 93
2θ 30.6, intensity 17
2θ 34.6, intensity 20
2θ 37.7, intensity 78
2θ 40.0, intensity 20
2θ 43.3, intensity 18
2θ 44.3, intensity 50
2θ 49.7, intensity 20
2θ 53.6, intensity 15
2θ 59.6, intensity 20

Crystal structure
a = 7.6301 Å, b = 7.6301 Å, c = 7.6301 Å
α = 55.35°, β = 55.35°, γ = 55.35°
Fractional positions:
Sm (0.0000, 0.0000, 0.0000)
Tm (0.5000, 0.5000, 0.5000)
Br (0.0990, 0.7438, 0.4116)
Br (0.2562, 0.5884, 0.9010)
Br (0.4116, 0.0990, 0.7438)
Br (0.5884, 0.9010, 0.2562)
Br (0.7438, 0.4116, 0.0990)
Br (0.9010, 0.2562, 0.5884)

---

# 7
Structure and computed powder X-ray diffraction pattern of Pr3Tm5Sn2 (a structure optimized by DFT (GGA-PBE); copper Kα).

Main lines, low angle first (5° ≤ 2θ ≤ 70°):
2θ 22.8, intensity 18
2θ 26.1, intensity 29
2θ 30.1, intensity 95
2θ 30.2, intensity 100
2θ 34.6, intensity 26
2θ 34.9, intensity 58
2θ 36.3, intensity 57
2θ 39.8, intensity 75
2θ 53.7, intensity 26
2θ 66.2, intensity 17
2θ 66.4, intensity 21
2θ 66.8, intensity 20

Crystal structure
a = 10.5899 Å, b = 10.5899 Å, c = 10.5899 Å
α = 105.32°, β = 85.32°, γ = 144.83°
Fractional positions:
Pr (0.2266, 0.1268, 0.3533)
Pr (0.2500, 0.2500, 0.0000)
Pr (0.2734, 0.6268, 0.9002)
Pr (0.7266, 0.3732, 0.0998)
Pr (0.7500, 0.7500, 0.0000)
Pr (0.7734, 0.8732, 0.6467)
Tm (0.1631, 0.3972, 0.5603)
Tm (0.2500, 0.5045, 0.2545)
Tm (0.2500, 0.7500, 0.5000)
Tm (0.2500, 0.9955, 0.7455)
Tm (0.3369, 0.8972, 0.2341)
Tm (0.6631, 0.1028, 0.7659)
Tm (0.7500, 0.0045, 0.2545)
Tm (0.7500, 0.2500, 0.5000)
Tm (0.7500, 0.4955, 0.7455)
Tm (0.8369, 0.6028, 0.4397)
Sn (0.1482, 0.8565, 0.0047)
Sn (0.3518, 0.3565, 0.7083)
Sn (0.6482, 0.6435, 0.2917)
Sn (0.8518, 0.1435, 0.9953)

---

# 8
Structure and computed powder X-ray diffraction pattern of AcDy14Tm (a structure optimized by DFT (GGA-PBE); copper Kα).

Main lines, low angle first (5° ≤ 2θ ≤ 70°):
2θ 28.3, intensity 24
2θ 31.5, intensity 24
2θ 32.5, intensity 100
2θ 42.9, intensity 16
2θ 50.2, intensity 20
2θ 56.8, intensity 21
2θ 58.6, intensity 3
2θ 60.5, intensity 23
2θ 61.1, intensity 17
2θ 65.9, intensity 3
2θ 68.1, intensity 4

Crystal structure
a = 11.3434 Å, b = 7.2726 Å, c = 7.2726 Å
α = 59.97°, β = 90.00°, γ = 90.00°
Fractional positions:
Ac (0.0000, 0.0000, 0.0000)
Dy (0.0000, 0.5024, 0.9981)
Dy (0.0000, 0.9981, 0.5024)
Dy (0.2493, 0.3341, 0.3341)
Dy (0.2539, 0.3369, 0.8323)
Dy (0.2539, 0.8323, 0.3369)
Dy (0.2548, 0.8326, 0.8326)
Dy (0.5000, 0.0007, 0.0007)
Dy (0.5000, 0.0006, 0.5003)
Dy (0.5000, 0.5003, 0.0006)
Dy (0.5000, 0.5005, 0.5005)
Dy (0.7452, 0.8326, 0.8326)
Dy (0.7461, 0.3369, 0.8323)
Dy (0.7461, 0.8323, 0.3369)
Dy (0.7507, 0.3341, 0.3341)
Tm (0.0000, 0.5016, 0.5016)

---

# 9
Structure and computed powder X-ray diffraction pattern of LaZr2Sc (a structure optimized by DFT (GGA-PBE); copper Kα).

Main lines, low angle first (5° ≤ 2θ ≤ 70°):
2θ 21.3, intensity 9
2θ 33.1, intensity 100
2θ 37.9, intensity 17
2θ 38.4, intensity 17
2θ 38.9, intensity 16
2θ 55.1, intensity 11
2θ 55.4, intensity 11
2θ 55.8, intensity 11
2θ 65.5, intensity 13
2θ 66.1, intensity 13
2θ 66.7, intensity 14
2θ 69.4, intensity 11

Crystal structure
a = 5.7769 Å, b = 5.7769 Å, c = 5.7769 Å
α = 132.70°, β = 132.09°, γ = 69.61°
Fractional positions:
La (0.0000, 0.0000, 0.0000)
Zr (0.2508, 0.7508, 0.5000)
Zr (0.7492, 0.2492, 0.5000)
Sc (0.5000, 0.5000, 0.0000)

---

# 10
Structure and computed powder X-ray diffraction pattern of AcIn3Cu3 (a structure optimized by DFT (GGA-PBE); copper Kα).

Main lines, low angle first (5° ≤ 2θ ≤ 70°):
2θ 11.4, intensity 14
2θ 22.9, intensity 19
2θ 30.5, intensity 100
2θ 34.6, intensity 22
2θ 36.6, intensity 83
2θ 40.2, intensity 15
2θ 40.3, intensity 28
2θ 41.9, intensity 15
2θ 46.8, intensity 15
2θ 51.3, intensity 13
2θ 55.5, intensity 18
2θ 63.3, intensity 14

Crystal structure
a = 8.9790 Å, b = 8.9790 Å, c = 4.4719 Å
α = 90.00°, β = 90.00°, γ = 120.00°
Fractional positions:
Ac (0.3333, 0.6667, 0.2500)
Ac (0.6667, 0.3333, 0.7500)
In (0.0519, 0.2848, 0.7500)
In (0.2329, 0.9481, 0.7500)
In (0.2848, 0.2329, 0.2500)
In (0.7152, 0.7671, 0.7500)
In (0.7671, 0.0519, 0.2500)
In (0.9481, 0.7152, 0.2500)
Cu (0.0530, 0.5954, 0.7500)
Cu (0.4046, 0.4576, 0.7500)
Cu (0.4576, 0.0530, 0.2500)
Cu (0.5424, 0.9470, 0.7500)
Cu (0.5954, 0.5424, 0.2500)
Cu (0.9470, 0.4046, 0.2500)

---

# 11
Structure and computed powder X-ray diffraction pattern of Pr2Dy3Y8 (a structure optimized by DFT (GGA-PBE); copper Kα).

Main lines, low angle first (5° ≤ 2θ ≤ 70°):
2θ 11.3, intensity 33
2θ 29.8, intensity 80
2θ 30.6, intensity 18
2θ 31.0, intensity 45
2θ 31.3, intensity 69
2θ 31.5, intensity 100
2θ 33.0, intensity 30
2θ 34.4, intensity 72
2θ 36.3, intensity 31
2θ 51.8, intensity 21
2θ 61.6, intensity 23
2θ 61.8, intensity 20

Crystal structure
a = 11.7952 Å, b = 20.8165 Å, c = 3.5303 Å
α = 90.00°, β = 90.00°, γ = 90.00°
Fractional positions:
Pr (0.1790, 0.0992, 0.0000)
Pr (0.3210, 0.5992, 0.0000)
Pr (0.6790, 0.4008, 0.0000)
Pr (0.8210, 0.9008, 0.0000)
Dy (0.0000, 0.0000, 0.5000)
Dy (0.1447, 0.7012, 0.5000)
Dy (0.3553, 0.2012, 0.5000)
Dy (0.5000, 0.5000, 0.5000)
Dy (0.6447, 0.7988, 0.5000)
Dy (0.8553, 0.2988, 0.5000)
Y (0.0455, 0.5716, 0.0000)
Y (0.0550, 0.8411, 0.5000)
Y (0.1291, 0.2867, 0.0000)
Y (0.2081, 0.4467, 0.5000)
Y (0.2919, 0.9467, 0.5000)
Y (0.3709, 0.7867, 0.0000)
Y (0.4450, 0.3411, 0.5000)
Y (0.4545, 0.0716, 0.0000)
Y (0.5455, 0.9284, 0.0000)
Y (0.5550, 0.6589, 0.5000)
Y (0.6291, 0.2133, 0.0000)
Y (0.7081, 0.0533, 0.5000)
Y (0.7919, 0.5533, 0.5000)
Y (0.8709, 0.7133, 0.0000)
Y (0.9450, 0.1589, 0.5000)
Y (0.9545, 0.4284, 0.0000)

---

# 12
Structure and computed powder X-ray diffraction pattern of AcGeAu6 (a structure optimized by DFT (GGA-PBE); copper Kα).

Main lines, low angle first (5° ≤ 2θ ≤ 70°):
2θ 30.5, intensity 100
2θ 30.9, intensity 73
2θ 32.8, intensity 28
2θ 37.2, intensity 22
2θ 40.3, intensity 21
2θ 42.1, intensity 52
2θ 45.8, intensity 26
2θ 49.1, intensity 14
2θ 50.0, intensity 43
2θ 52.8, intensity 20
2θ 62.8, intensity 23
2θ 64.2, intensity 16

Crystal structure
a = 5.9483 Å, b = 5.9483 Å, c = 5.9483 Å
α = 71.36°, β = 71.36°, γ = 71.36°
Fractional positions:
Ac (0.0000, 0.0000, 0.0000)
Ge (0.5000, 0.5000, 0.5000)
Au (0.0332, 0.6357, 0.6357)
Au (0.3643, 0.3643, 0.9668)
Au (0.3643, 0.9668, 0.3643)
Au (0.6357, 0.0332, 0.6357)
Au (0.6357, 0.6357, 0.0332)
Au (0.9668, 0.3643, 0.3643)

---

Copy entry 1 word for word.
Structure and computed powder X-ray diffraction pattern of MgPb2 (a structure optimized by DFT (GGA-PBE); copper Kα).

Main lines, low angle first (5° ≤ 2θ ≤ 70°):
2θ 19.4, intensity 41
2θ 29.8, intensity 33
2θ 32.1, intensity 100
2θ 33.9, intensity 46
2θ 34.1, intensity 19
2θ 41.0, intensity 11
2θ 47.4, intensity 19
2θ 48.8, intensity 13
2θ 53.0, intensity 10
2θ 57.0, intensity 19
2θ 61.9, intensity 10
2θ 63.5, intensity 15

Crystal structure
a = 3.5191 Å, b = 9.1630 Å, c = 9.1630 Å
α = 120.02°, β = 90.00°, γ = 90.00°
Fractional positions:
Mg (0.0000, 0.0000, 0.0000)
Mg (0.5000, 0.3328, 0.6659)
Mg (0.5000, 0.6659, 0.3328)
Pb (0.0000, 0.3804, 0.3804)
Pb (0.0000, 0.6186, 0.9993)
Pb (0.0000, 0.9993, 0.6186)
Pb (0.5000, 0.2846, 0.9992)
Pb (0.5000, 0.7147, 0.7147)
Pb (0.5000, 0.9992, 0.2846)